# 1
Starting from a DFT-relaxed cell (GGA-PBE, Alexandria), the X-ray powder pattern of Na17MgCd11 was computed for Cu Kα (weighted mean of Kα1 and Kα2).
Peak positions follow from Bragg's law for the DFT cell and can differ from measured ones.

Structural model:
```
29
Lattice="5.8649 -8.3140 0.0000 5.8649 8.3140 0.0000 -5.8601 0.0000 8.2958" Properties=species:S:1:pos:R:3 pbc="T T T"
Na 0.0000 0.0000 0.0000
Na 4.2929 -5.6621 4.8654
Na 7.9182 -5.3966 0.0036
Na 1.6597 4.9335 2.6006
Na -2.0111 0.0000 2.8868
Na 1.6794 3.3982 5.6831
Na -0.5105 2.3546 8.2771
Na 4.2929 5.6621 4.8654
Na 7.9182 5.3966 0.0036
Na 4.2496 2.5815 3.3467
Na 0.6375 0.0000 5.9608
Na 1.6597 -4.9335 2.6006
Na -0.5105 -2.3546 8.2771
Na 3.8813 0.0000 5.3948
Na 6.4410 0.0000 2.2718
Na 1.6794 -3.3982 5.6831
Na 4.2496 -2.5815 3.3467
Mg -2.6983 0.0000 6.7657
Cd 4.8455 -2.9923 6.7510
Cd 1.0745 6.7831 5.2764
Cd 1.0845 1.5271 2.9888
Cd 4.8526 5.3027 1.5146
Cd 3.2107 0.0000 1.4103
Cd 1.0845 -1.5271 2.9888
Cd 4.8455 2.9923 6.7510
Cd 2.6980 1.4820 8.2863
Cd 1.0745 -6.7831 5.2764
Cd 2.6980 -1.4820 8.2863
Cd 4.8526 -5.3027 1.5146
```

Largest 10 diffraction maxima, sorted by position, 2θ from 5° to 70°:
2θ/deg, intensity
10.66, 37
18.51, 100
21.40, 15
32.35, 87
35.88, 87
37.53, 13
39.13, 45
42.16, 16
57.68, 20
67.75, 12



# 2
Starting from a DFT-relaxed cell (GGA-PBE, Alexandria), the X-ray powder pattern of NaMg6Cd2 was computed for Cu Kα (weighted mean of Kα1 and Kα2).
Peak positions follow from Bragg's law for the DFT cell and can differ from measured ones.

Structural model:
```
18
Lattice="9.4290 0.0000 0.0000 0.0000 9.4290 0.0000 0.0000 0.0000 4.6257" Properties=species:S:1:pos:R:3 pbc="T T T"
Na 0.0000 0.0000 0.0000
Na 4.7145 4.7145 2.3128
Mg 0.0167 3.1653 0.0000
Mg 1.5492 4.7312 2.3128
Mg 1.5541 7.8750 2.3128
Mg 3.1605 3.1605 0.0000
Mg 3.1653 0.0167 0.0000
Mg 4.6978 7.8799 2.3128
Mg 4.7312 1.5492 2.3128
Mg 6.2637 9.4123 0.0000
Mg 6.2686 6.2686 0.0000
Mg 7.8750 1.5541 2.3128
Mg 7.8799 4.6978 2.3128
Mg 9.4123 6.2637 0.0000
Cd 1.6508 1.6508 2.3128
Cd 3.0637 6.3653 0.0000
Cd 6.3653 3.0637 0.0000
Cd 7.7783 7.7783 2.3128
```

Largest 10 diffraction maxima, sorted by position, 2θ from 5° to 70°:
2θ/deg, intensity
18.82, 16
21.07, 34
21.40, 13
23.41, 34
34.50, 100
38.94, 18
40.59, 31
57.51, 21
67.68, 13
69.95, 22



# 3
Starting from a DFT-relaxed cell (GGA-PBE, Alexandria), the X-ray powder pattern of NaMgCd5 was computed for Cu Kα (weighted mean of Kα1 and Kα2).
Peak positions follow from Bragg's law for the DFT cell and can differ from measured ones.

Structural model:
```
7
Lattice="2.9928 -4.5807 0.0000 2.9928 4.5807 0.0000 0.0000 0.0000 6.3334" Properties=species:S:1:pos:R:3 pbc="T T T"
Na 0.0000 0.0000 0.0000
Mg 2.9928 0.0000 3.1667
Cd 0.0000 0.0000 3.1667
Cd 1.4964 2.2903 1.5626
Cd 1.4964 2.2903 4.7708
Cd 1.4964 -2.2903 1.5626
Cd 1.4964 -2.2903 4.7708
```

Largest 10 diffraction maxima, sorted by position, 2θ from 5° to 70°:
2θ/deg, intensity
17.70, 17
19.38, 47
28.18, 19
29.85, 16
34.43, 100
35.84, 91
39.34, 34
41.52, 59
46.20, 19
58.52, 41